# KMgH5S2O10
Computed X-ray powder pattern, a wavelength of 1.5418 Å. Input: a structure optimized by DFT (GGA-PBE).
Kinematic intensities with the Lorentz-polarization factor, no thermal factor.

Crystal structure
```
data_KMgH5S2O10
_chemical_formula_sum 'K1 Mg1 H5 S2 O10'
_cell_length_a 5.381
_cell_length_b 7.492
_cell_length_c 7.532
_cell_angle_alpha 64.46
_cell_angle_beta 74.19
_cell_angle_gamma 69.63
_symmetry_space_group_name_H-M 'P 1'
_symmetry_Int_Tables_number 1
loop_
_symmetry_equiv_pos_as_xyz
'x,y,z'
loop_
_atom_site_label
_atom_site_type_symbol
_atom_site_fract_x
_atom_site_fract_y
_atom_site_fract_z
_atom_site_occupancy
K1 K 0.000 0.000 0.000 1
Mg1 Mg 0.035 0.314 0.436 1
H1 H 0.184 0.621 0.447 1
H2 H 0.383 0.544 0.285 1
H3 H 0.441 0.441 0.689 1
H4 H 0.460 0.204 0.957 1
H5 H 0.522 0.250 0.233 1
S1 S 0.421 0.836 0.559 1
S2 S 0.655 0.682 0.832 1
O1 O 0.190 0.567 0.345 1
O2 O 0.241 0.023 0.607 1
O3 O 0.257 0.686 0.613 1
O4 O 0.344 0.288 0.184 1
O5 O 0.393 0.130 0.104 1
O6 O 0.557 0.842 0.925 1
O7 O 0.575 0.303 0.728 1
O8 O 0.734 0.439 0.260 1
O9 O 0.781 0.232 0.310 1
O10 O 0.821 0.372 0.681 1
```

The 10 most intense peaks (2θ = 10–90°), by angle:
2theta	I (rel.)
19.31	72
22.26	100
23.68	44
25.37	62
27.31	68
29.70	43
33.44	43
34.25	91
37.01	46
41.84	50